The following is a calculated XRD peak list of Mg7VH16. It was derived from DFT lattice parameters and positions (GGA-PBE), using Cu Kα X-rays.
Kinematic intensities with the Lorentz-polarization factor, no thermal factor.

Largest 10 diffraction maxima, sorted by position, 2θ = 10–80°:
16.6°, I 8
19.2°, I 4
27.3°, I 3
32.1°, I 4
33.5°, I 100
38.9°, I 41
42.6°, I 1
56.2°, I 35
67.1°, I 36
70.5°, I 9

Structure:
```
data_Mg7VH16
_chemical_formula_sum 'Mg7 V1 H16'
_symmetry_space_group_name_H-M 'P 1'
_symmetry_Int_Tables_number 1
_symmetry_space_group_name_Hall 'P 1'
_cell_length_a 6.543
_cell_length_b 6.543
_cell_length_c 6.543
_cell_angle_alpha 60.00
_cell_angle_beta 60.00
_cell_angle_gamma 60.00
loop_
_atom_site_label
_atom_site_fract_x
_atom_site_fract_y
_atom_site_fract_z
Mg1 0.000 0.000 0.000
Mg2 0.000 0.000 0.500
Mg3 0.000 0.500 0.000
Mg4 0.000 0.500 0.500
Mg5 0.500 0.000 0.000
Mg6 0.500 0.000 0.500
Mg7 0.500 0.500 0.000
V1 0.500 0.500 0.500
H1 0.128 0.128 0.128
H2 0.128 0.128 0.615
H3 0.128 0.615 0.128
H4 0.152 0.616 0.616
H5 0.384 0.384 0.384
H6 0.384 0.384 0.848
H7 0.384 0.848 0.384
H8 0.385 0.872 0.872
H9 0.615 0.128 0.128
H10 0.616 0.152 0.616
H11 0.616 0.616 0.152
H12 0.616 0.616 0.616
H13 0.848 0.384 0.384
H14 0.872 0.385 0.872
H15 0.872 0.872 0.385
H16 0.872 0.872 0.872
```

=====

The following is a calculated XRD peak list of Cr5C3. It was derived from DFT lattice parameters and positions (GGA-PBE), using Cu Kα X-rays.
Kinematic intensities with the Lorentz-polarization factor, no thermal factor.

Largest 10 diffraction maxima, sorted by position, 2θ = 10–80°:
32.0°, I 45
36.3°, I 61
38.4°, I 40
41.9°, I 32
45.1°, I 31
46.1°, I 86
51.1°, I 64
52.0°, I 100
52.3°, I 35
79.6°, I 20

Structure:
```
data_Cr5C3
_chemical_formula_sum 'Cr10 C6'
_symmetry_space_group_name_H-M 'P 1'
_symmetry_Int_Tables_number 1
_symmetry_space_group_name_Hall 'P 1'
_cell_length_a 6.002
_cell_length_b 6.002
_cell_length_c 6.002
_cell_angle_alpha 98.75
_cell_angle_beta 98.75
_cell_angle_gamma 134.08
loop_
_atom_site_label
_atom_site_fract_x
_atom_site_fract_y
_atom_site_fract_z
Cr1 0.000 0.500 0.500
Cr2 0.011 0.728 0.135
Cr3 0.092 0.228 0.717
Cr4 0.228 0.511 0.135
Cr5 0.375 0.092 0.865
Cr6 0.500 0.000 0.500
Cr7 0.511 0.375 0.283
Cr8 0.592 0.875 0.865
Cr9 0.728 0.592 0.717
Cr10 0.875 0.011 0.283
C1 0.034 0.859 0.500
C2 0.047 0.047 0.000
C3 0.359 0.534 0.500
C4 0.534 0.034 0.174
C5 0.547 0.547 0.000
C6 0.859 0.359 0.826
```

=====

The following is a calculated XRD peak list of Ti2SiTeW. It was derived from DFT lattice parameters and positions (GGA-PBE), using Cu Kα X-rays.
Kinematic intensities with the Lorentz-polarization factor, no thermal factor.

Largest 10 diffraction maxima, sorted by position, 2θ = 10–80°:
19.5°, I 21
26.9°, I 36
33.5°, I 100
38.4°, I 45
39.6°, I 21
48.6°, I 15
55.5°, I 15
56.4°, I 29
66.4°, I 27
70.3°, I 15

Structure:
```
data_Ti2SiTeW
_chemical_formula_sum 'Ti2 Si1 Te1 W1'
_symmetry_space_group_name_H-M 'P 1'
_symmetry_Int_Tables_number 1
_symmetry_space_group_name_Hall 'P 1'
_cell_length_a 4.683
_cell_length_b 4.683
_cell_length_c 4.546
_cell_angle_alpha 90.00
_cell_angle_beta 90.00
_cell_angle_gamma 90.00
loop_
_atom_site_label
_atom_site_fract_x
_atom_site_fract_y
_atom_site_fract_z
Ti1 0.000 0.500 0.000
Ti2 0.500 0.000 0.000
Si1 0.000 0.000 0.000
Te1 0.500 0.500 0.500
W1 0.000 0.000 0.500
```

=====

The following is a calculated XRD peak list of CaSm4Tm. It was derived from DFT lattice parameters and positions (GGA-PBE), using Cu Kα X-rays.
Kinematic intensities with the Lorentz-polarization factor, no thermal factor.

Largest 10 diffraction maxima, sorted by position, 2θ = 10–80°:
29.9°, I 99
30.3°, I 100
34.9°, I 100
50.1°, I 47
50.7°, I 12
59.3°, I 25
59.4°, I 14
59.6°, I 15
60.0°, I 27
63.0°, I 12

Structure:
```
data_CaSm4Tm
_chemical_formula_sum 'Ca1 Sm4 Tm1'
_symmetry_space_group_name_H-M 'P 1'
_symmetry_Int_Tables_number 1
_symmetry_space_group_name_Hall 'P 1'
_cell_length_a 3.603
_cell_length_b 5.151
_cell_length_c 11.003
_cell_angle_alpha 90.00
_cell_angle_beta 90.08
_cell_angle_gamma 90.00
loop_
_atom_site_label
_atom_site_fract_x
_atom_site_fract_y
_atom_site_fract_z
Ca1 0.000 0.000 0.000
Sm1 0.000 0.000 0.341
Sm2 0.000 0.000 0.659
Sm3 0.500 0.500 0.183
Sm4 0.500 0.500 0.817
Tm1 0.500 0.500 0.500
```

=====

The following is a calculated XRD peak list of Na3TbHo2S6. It was derived from DFT lattice parameters and positions (GGA-PBE), using Cu Kα X-rays.
Kinematic intensities with the Lorentz-polarization factor, no thermal factor.

Largest 10 diffraction maxima, sorted by position, 2θ = 10–80°:
13.3°, I 88
26.2°, I 44
27.4°, I 31
31.5°, I 100
34.3°, I 18
41.0°, I 19
44.7°, I 36
45.6°, I 35
47.7°, I 21
56.5°, I 18

Structure:
```
data_Na3TbHo2S6
_chemical_formula_sum 'Na3 Tb1 Ho2 S6'
_symmetry_space_group_name_H-M 'P 1'
_symmetry_Int_Tables_number 1
_symmetry_space_group_name_Hall 'P 1'
_cell_length_a 6.892
_cell_length_b 6.892
_cell_length_c 7.065
_cell_angle_alpha 99.35
_cell_angle_beta 99.35
_cell_angle_gamma 120.00
loop_
_atom_site_label
_atom_site_fract_x
_atom_site_fract_y
_atom_site_fract_z
Na1 0.000 0.000 0.000
Na2 0.333 0.667 0.000
Na3 0.667 0.333 0.000
Tb1 0.500 0.500 0.500
Ho1 0.167 0.833 0.500
Ho2 0.833 0.167 0.500
S1 0.089 0.425 0.274
S2 0.240 0.240 0.727
S3 0.425 0.089 0.274
S4 0.575 0.911 0.726
S5 0.760 0.760 0.273
S6 0.911 0.575 0.726
```